[1]
This entry pairs a crystal structure of Pm6Pr3Nd2 with its calculated powder XRD pattern. Radiation: λ = 1.5418 Å (Cu Kα). Structure: a crystal structure in Alexandria, relaxed with PBE.
Neutral-atom scattering factors, no anomalous dispersion.

Crystal structure
```
Pm6Pr3Nd2
1.0
3.674 0.000 0.000
-1.828 6.092 0.000
-0.001 -0.003 17.249
Pm Pr Nd
6 3 2
Direct
0.047 0.092 0.181
0.136 0.273 0.546
0.227 0.454 0.909
0.773 0.546 0.091
0.864 0.727 0.454
0.953 0.908 0.819
0.409 0.818 0.637
0.500 0.000 0.000
0.591 0.182 0.363
0.320 0.638 0.272
0.680 0.362 0.728
```

Largest 12 diffraction maxima, low angle first, 2θ = 10–90°:
2θ (°), I_rel
29.77, 100.0
34.51, 50.7
49.61, 36.4
58.92, 36.2
59.00, 7.2
61.84, 12.5
72.74, 3.9
72.86, 1.9
80.55, 14.7
80.63, 2.9
83.08, 12.3
83.19, 4.1

[2]
This entry pairs a crystal structure of Al2FeSe4 with its calculated powder XRD pattern. Radiation: λ = 1.5418 Å (Cu Kα). Structure: a crystal structure in Alexandria, relaxed with PBE.
Neutral-atom scattering factors, no anomalous dispersion.

Crystal structure
```
Al2FeSe4
1.0
-2.769 2.769 6.475
2.769 -2.769 6.475
2.769 2.769 -6.475
Al Fe Se
2 1 4
Direct
0.000 0.500 0.500
0.500 0.000 0.500
0.000 0.000 0.000
0.138 0.635 0.000
0.365 0.365 0.503
0.635 0.138 0.000
0.862 0.862 0.497
```

Largest 12 diffraction maxima, low angle first, 2θ = 10–90°:
2θ (°), I_rel
13.67, 32.5
17.42, 9.5
26.60, 100.0
27.55, 8.4
32.33, 12.6
42.98, 47.1
46.37, 19.9
48.14, 16.2
53.85, 8.0
54.26, 26.6
69.06, 10.9
83.59, 13.3

[3]
This entry pairs a crystal structure of TbPm7Sm3 with its calculated powder XRD pattern. Radiation: λ = 1.5418 Å (Cu Kα). Structure: a crystal structure in Alexandria, relaxed with PBE.
Neutral-atom scattering factors, no anomalous dispersion.

Crystal structure
```
TbPm7Sm3
1.0
7.076 0.000 0.000
0.000 5.672 0.000
-3.466 0.000 9.508
Tb Pm Sm
1 7 3
Direct
0.000 0.000 0.000
0.083 0.000 0.671
0.179 0.500 0.863
0.355 0.500 0.210
0.500 0.000 0.500
0.645 0.500 0.790
0.821 0.500 0.137
0.917 0.000 0.329
0.220 0.500 0.501
0.500 0.000 0.000
0.780 0.500 0.499
```

Largest 12 diffraction maxima, low angle first, 2θ = 10–90°:
2θ (°), I_rel
30.93, 33.1
31.08, 35.9
31.19, 77.0
31.33, 99.0
31.57, 100.0
32.36, 78.1
45.11, 18.4
45.28, 17.2
51.67, 17.4
55.93, 21.8
56.70, 21.0
61.81, 20.2

[4]
This entry pairs a crystal structure of Nb2H3Rh2 with its calculated powder XRD pattern. Radiation: λ = 1.5418 Å (Cu Kα). Structure: a crystal structure in Alexandria, relaxed with PBE.
Neutral-atom scattering factors, no anomalous dispersion.

Crystal structure
```
Nb2H3Rh2
1.0
4.808 -1.460 0.000
4.808 1.460 0.000
-0.908 0.000 5.022
Nb H Rh
2 3 2
Direct
0.121 0.121 0.335
0.879 0.879 0.665
0.235 0.235 0.710
0.500 0.500 0.500
0.765 0.765 0.290
0.380 0.380 0.135
0.620 0.620 0.865
```

Largest 12 diffraction maxima, low angle first, 2θ = 10–90°:
2θ (°), I_rel
37.44, 47.9
37.69, 100.0
38.04, 50.2
43.71, 29.9
43.88, 68.6
63.26, 17.3
63.73, 11.1
63.87, 10.3
64.08, 20.0
76.28, 30.8
76.69, 12.4
76.95, 17.1

[5]
This entry pairs a crystal structure of NaIO3 with its calculated powder XRD pattern. Radiation: λ = 1.5418 Å (Cu Kα). Structure: a crystal structure in Alexandria, relaxed with PBE.
Neutral-atom scattering factors, no anomalous dispersion.

Crystal structure
```
NaIO3
1.0
6.504 0.000 0.000
0.000 8.349 0.000
0.000 0.000 5.802
Na I O
4 4 12
Direct
0.000 0.000 0.000
0.000 0.500 0.000
0.500 0.000 0.500
0.500 0.500 0.500
0.015 0.250 0.490
0.485 0.750 0.990
0.515 0.250 0.010
0.985 0.750 0.510
0.100 0.250 0.790
0.165 0.086 0.363
0.165 0.414 0.363
0.335 0.586 0.863
0.335 0.914 0.863
0.400 0.750 0.290
0.600 0.250 0.710
0.665 0.086 0.137
0.665 0.414 0.137
0.835 0.586 0.637
0.835 0.914 0.637
0.900 0.750 0.210
```

Largest 12 diffraction maxima, low angle first, 2θ = 10–90°:
2θ (°), I_rel
20.51, 75.3
21.28, 30.4
27.43, 29.1
29.73, 100.0
30.82, 19.1
34.98, 20.3
41.72, 20.8
49.94, 27.9
52.06, 13.1
54.13, 32.2
61.73, 12.2
71.17, 14.2

[6]
This entry pairs a crystal structure of PrAg6 with its calculated powder XRD pattern. Radiation: λ = 1.5418 Å (Cu Kα). Structure: a crystal structure in Alexandria, relaxed with PBE.
Neutral-atom scattering factors, no anomalous dispersion.

Crystal structure
```
PrAg6
1.0
8.953 0.000 0.000
0.000 5.750 0.000
0.000 0.000 11.319
Pr Ag
4 24
Direct
0.242 0.250 0.067
0.258 0.750 0.567
0.742 0.250 0.433
0.758 0.750 0.933
0.063 0.009 0.308
0.063 0.491 0.308
0.067 0.750 0.087
0.105 0.250 0.520
0.146 0.750 0.851
0.185 0.250 0.764
0.315 0.750 0.264
0.354 0.250 0.351
0.395 0.750 0.020
0.433 0.250 0.587
0.437 0.509 0.808
0.437 0.991 0.808
0.563 0.009 0.192
0.563 0.491 0.192
0.567 0.750 0.413
0.605 0.250 0.980
0.646 0.750 0.649
0.685 0.250 0.736
0.815 0.750 0.236
0.854 0.250 0.149
0.895 0.750 0.480
0.933 0.250 0.913
0.937 0.509 0.692
0.937 0.991 0.692
```

Largest 12 diffraction maxima, low angle first, 2θ = 10–90°:
2θ (°), I_rel
31.11, 20.8
33.20, 37.8
34.79, 100.0
35.01, 17.0
37.17, 17.2
38.04, 27.9
40.72, 35.4
40.86, 27.6
41.12, 41.1
57.75, 21.3
60.35, 14.7
63.36, 14.4

[7]
This entry pairs a crystal structure of Hf2MnTl3S6 with its calculated powder XRD pattern. Radiation: λ = 1.5418 Å (Cu Kα). Structure: a crystal structure in Alexandria, relaxed with PBE.
Neutral-atom scattering factors, no anomalous dispersion.

Crystal structure
```
Hf2MnTl3S6
1.0
3.182 -5.503 0.000
3.182 5.503 0.000
-0.024 0.000 8.023
Hf Mn Tl S
2 1 3 6
Direct
0.167 0.833 0.000
0.833 0.167 0.000
0.500 0.500 0.000
0.167 0.833 0.500
0.500 0.500 0.500
0.833 0.167 0.500
0.163 0.163 0.820
0.164 0.500 0.180
0.500 0.164 0.180
0.500 0.836 0.820
0.836 0.500 0.820
0.837 0.837 0.180
```

Largest 12 diffraction maxima, low angle first, 2θ = 10–90°:
2θ (°), I_rel
22.16, 55.2
28.06, 100.0
30.24, 16.1
36.01, 80.2
36.08, 68.0
49.66, 36.8
54.00, 19.6
54.11, 23.7
55.05, 20.2
58.01, 13.7
62.91, 23.4
84.13, 17.8

[8]
This entry pairs a crystal structure of BaLi2TcCl8 with its calculated powder XRD pattern. Radiation: λ = 1.5418 Å (Cu Kα). Structure: a crystal structure in Alexandria, relaxed with PBE.
Neutral-atom scattering factors, no anomalous dispersion.

Crystal structure
```
BaLi2TcCl8
1.0
6.124 0.000 0.000
-0.342 6.728 0.000
-0.498 -3.200 8.014
Ba Li Tc Cl
1 2 1 8
Direct
0.000 0.000 0.000
0.494 0.648 0.191
0.506 0.352 0.809
0.000 0.000 0.500
0.109 0.749 0.240
0.172 0.807 0.645
0.323 0.223 0.535
0.442 0.274 0.049
0.558 0.726 0.951
0.677 0.777 0.465
0.828 0.193 0.355
0.891 0.251 0.760
```

Largest 12 diffraction maxima, low angle first, 2θ = 10–90°:
2θ (°), I_rel
14.18, 100.0
14.53, 65.1
19.54, 42.6
21.14, 46.2
21.45, 29.9
22.18, 37.5
26.43, 27.7
32.40, 45.4
32.74, 57.2
33.71, 37.7
41.95, 21.3
46.82, 24.6

[9]
This entry pairs a crystal structure of ReH6F12 with its calculated powder XRD pattern. Radiation: λ = 1.5418 Å (Cu Kα). Structure: a crystal structure in Alexandria, relaxed with PBE.
Neutral-atom scattering factors, no anomalous dispersion.

Crystal structure
```
ReH6F12
1.0
5.134 2.964 2.668
-5.134 2.964 2.668
0.000 -5.928 2.668
Re H F
1 6 12
Direct
0.000 0.000 0.000
0.272 0.575 0.651
0.349 0.728 0.425
0.425 0.349 0.728
0.575 0.651 0.272
0.651 0.272 0.575
0.728 0.425 0.349
0.019 0.302 0.085
0.085 0.019 0.302
0.237 0.684 0.571
0.302 0.085 0.019
0.316 0.429 0.763
0.429 0.763 0.316
0.571 0.237 0.684
0.684 0.571 0.237
0.698 0.915 0.981
0.763 0.316 0.429
0.915 0.981 0.698
0.981 0.698 0.915
```

Largest 12 diffraction maxima, low angle first, 2θ = 10–90°:
2θ (°), I_rel
14.89, 100.0
17.27, 73.9
22.88, 51.1
24.39, 44.3
28.81, 63.5
30.04, 14.5
34.90, 18.2
38.01, 18.6
43.08, 31.2
45.75, 19.3
46.80, 14.2
49.26, 11.4